This entry pairs a crystal structure of MnAsPdO6 with its simulated XRD peak list. Radiation: Cu Kα, 1.54184 Å. Structure: DFT lattice parameters and positions (PBE+U).

Crystal structure
Cell lengths 5.028, 5.028, 9.019 Å; angles 90.00, 90.00, 120.00 degrees
Fractional positions:
Mn 0.000 0.000 0.000
Mn 0.000 0.000 0.500
As 0.333 0.667 0.250
As 0.667 0.333 0.750
Pd 0.333 0.667 0.750
Pd 0.667 0.333 0.250
O 0.021 0.367 0.133
O 0.021 0.654 0.367
O 0.346 0.367 0.367
O 0.346 0.979 0.133
O 0.367 0.021 0.633
O 0.367 0.346 0.867
O 0.633 0.654 0.133
O 0.633 0.979 0.367
O 0.654 0.021 0.867
O 0.654 0.633 0.633
O 0.979 0.346 0.633
O 0.979 0.633 0.867

The 12 most intense peaks (2θ from 10° to 80°), by angle:
- hkl 0 0 2, 19.69°, I = 36
- hkl 1 0 0, 20.39°, I = 10
- hkl 1 0 2, 28.49°, I = 100
- hkl 1 1 0, 35.71°, I = 45
- hkl 1 1 2, 41.10°, I = 36
- hkl 2 0 2, 46.30°, I = 24
- hkl 1 1 4, 54.68°, I = 54
- hkl 2 1 2, 59.82°, I = 23
- hkl 3 0 0, 64.16°, I = 20
- hkl 1 0 6, 65.72°, I = 8
- hkl 3 0 2, 67.83°, I = 7
- hkl 3 0 4, 78.34°, I = 7